For HgBiH, DFT lattice parameters and positions (GGA-PBE) gives the computed X-ray diffraction stick pattern in this record (Cu Ka).
Lines closer than 0.1° are merged.

Cell and atoms:
```
data_HgBiH
_chemical_formula_sum 'Hg4 Bi4 H4'
_cell_length_a 7.8432
_cell_length_b 7.8016
_cell_length_c 5.0946
_cell_angle_alpha 90.00
_cell_angle_beta 90.00
_cell_angle_gamma 90.00
_symmetry_space_group_name_H-M 'P n m a'
_symmetry_Int_Tables_number 62
loop_
_symmetry_equiv_pos_as_xyz
'x,y,z'
'-x,-y,-z'
'-x+1/2,-y,z+1/2'
'x+1/2,y,-z+1/2'
'x+1/2,-y+1/2,-z+1/2'
'-x+1/2,y+1/2,z+1/2'
'-x,y+1/2,-z'
'x,-y+1/2,z'
loop_
_atom_site_label
_atom_site_type_symbol
_atom_site_fract_x
_atom_site_fract_y
_atom_site_fract_z
Hg1 Hg 0.0000 0.0000 0.0000
Bi1 Bi 0.0595 0.2500 0.4107
H1 H 0.1715 0.7500 0.5089
```

Largest 10 diffraction maxima, by intensity, 2θ from 10° to 90°:
index  2θ/deg  d_spacing  I (rel.)
1 2 1  31.0  2.881  100
2 0 0  22.7  3.922  48
3 2 1  45.4  1.998  21
1 1 2  38.9  2.314  14
2 0 2  42.3  2.136  13
0 1 1  20.8  4.266  13
2 1 0  25.4  3.504  11
0 0 2  35.2  2.547  11
2 4 0  52.4  1.746  11
0 4 0  46.6  1.950  10

***

For Nd2Sm5Dy12, DFT lattice parameters and positions (GGA-PBE) gives the computed X-ray diffraction stick pattern in this record (Cu Ka).
Lines closer than 0.1° are merged.

Cell and atoms:
```
data_Nd2Sm5Dy12
_chemical_formula_sum 'Nd2 Sm5 Dy12'
_cell_length_a 6.1313
_cell_length_b 8.8957
_cell_length_c 11.7629
_cell_angle_alpha 91.33
_cell_angle_beta 103.20
_cell_angle_gamma 96.22
_symmetry_space_group_name_H-M 'P -1'
_symmetry_Int_Tables_number 2
loop_
_symmetry_equiv_pos_as_xyz
'x,y,z'
'-x,-y,-z'
loop_
_atom_site_label
_atom_site_type_symbol
_atom_site_fract_x
_atom_site_fract_y
_atom_site_fract_z
Nd1 Nd 0.2142 0.4731 0.4210
Sm1 Sm 0.0000 0.0000 0.0000
Sm2 Sm 0.1662 0.8439 0.5249
Sm3 Sm 0.4575 0.6934 0.0489
Dy1 Dy 0.0132 0.7373 0.2132
Dy2 Dy 0.0927 0.3773 0.1122
Dy3 Dy 0.2547 0.1034 0.3148
Dy4 Dy 0.3327 0.9427 0.8278
Dy5 Dy 0.3504 0.5736 0.7343
Dy6 Dy 0.4163 0.2104 0.6335
```

Largest 10 diffraction maxima, by intensity, 2θ from 10° to 90°:
index  2θ/deg  d_spacing  I (rel.)
1 1 -4  33.1  2.704  100
0 3 -1  31.0  2.886  71
1 -1 3  31.4  2.849  56
-1 2 3  31.6  2.829  55
2 0 -1  29.3  3.046  32
2 1 -1  32.1  2.790  24
2 -2 0  34.4  2.606  21
0 1 6  49.4  1.845  19
1 -4 4  54.2  1.691  18
3 -3 3  62.5  1.486  17

***

For Dy2ErTmTl2, DFT lattice parameters and positions (GGA-PBE) gives the computed X-ray diffraction stick pattern in this record (Cu Ka).
Lines closer than 0.1° are merged.

Cell and atoms:
```
data_Dy2ErTmTl2
_chemical_formula_sum 'Dy4 Er2 Tm2 Tl4'
_cell_length_a 5.0601
_cell_length_b 9.9138
_cell_length_c 6.7892
_cell_angle_alpha 90.00
_cell_angle_beta 90.00
_cell_angle_gamma 90.00
_symmetry_space_group_name_H-M 'P m c 21'
_symmetry_Int_Tables_number 26
loop_
_symmetry_equiv_pos_as_xyz
'x,y,z'
'-x,-y,z+1/2'
'-x,y,z'
'x,-y,z+1/2'
loop_
_atom_site_label
_atom_site_type_symbol
_atom_site_fract_x
_atom_site_fract_y
_atom_site_fract_z
Dy1 Dy 0.0000 0.0422 0.0000
Dy2 Dy 0.5000 0.1881 0.2817
Er1 Er 0.5000 0.4581 0.9078
Tm1 Tm 0.0000 0.3128 0.6248
Tl1 Tl 0.0000 0.3695 0.1635
Tl2 Tl 0.5000 0.1362 0.7465
```

Largest 10 diffraction maxima, by intensity, 2θ from 10° to 90°:
index  2θ/deg  d_spacing  I (rel.)
1 3 0  32.4  2.767  100
1 1 2  33.0  2.712  83
1 0 2  31.7  2.819  61
2 0 0  35.5  2.530  60
1 3 1  35.0  2.562  36
0 3 2  38.0  2.368  26
1 6 1  60.5  1.530  24
0 2 2  32.0  2.801  23
2 3 2  53.0  1.729  20
0 3 1  30.1  2.971  20